# 1
Structure and computed powder diffractogram of Dy2Ho8Tl (a crystal structure in Alexandria, relaxed with GGA-PBE; λ = 1.5418 Å (Cu Kα)).
Kinematic intensities with the Lorentz-polarization factor, no thermal factor.

```
data_Dy2Ho8Tl
_cell_length_a 19.297
_cell_length_b 5.522
_cell_length_c 6.389
_cell_angle_alpha 90.00
_cell_angle_beta 95.28
_cell_angle_gamma 90.00
_space_group_name_H-M_alt 'C 1 2/m 1'
_space_group_IT_number 12
loop_
_space_group_symop_operation_xyz
'x,y,z'
'-x,-y,-z'
'-x,y,-z'
'x,-y,z'
'x+1/2,y+1/2,z'
'-x+1/2,-y+1/2,-z'
'-x+1/2,y+1/2,-z'
'x+1/2,-y+1/2,z'
loop_
_atom_site_label
_atom_site_fract_x
_atom_site_fract_y
_atom_site_fract_z
Dy1 0.244 0.000 0.335
Ho1 0.045 0.000 0.268
Ho2 0.079 0.500 0.598
Ho3 0.154 0.000 0.803
Ho4 0.162 0.500 0.123
Tl1 0.000 0.500 0.000
```

The 10 most intense peaks (10° ≤ 2θ ≤ 80°), sorted by position:
two_theta	Rel. int.
30.06	27
30.67	13
32.44	100
32.62	66
38.15	9
44.80	18
48.49	11
57.86	15
57.97	13
59.55	12


# 2
Structure and computed powder diffractogram of GaCoGePt (a crystal structure in Alexandria, relaxed with GGA-PBE; λ = 1.5418 Å (Cu Kα)).
Kinematic intensities with the Lorentz-polarization factor, no thermal factor.

```
data_GaCoGePt
_cell_length_a 2.944
_cell_length_b 3.758
_cell_length_c 5.201
_cell_angle_alpha 90.00
_cell_angle_beta 90.00
_cell_angle_gamma 90.00
_space_group_name_H-M_alt 'P m m 2'
_space_group_IT_number 25
loop_
_space_group_symop_operation_xyz
'x,y,z'
'-x,-y,z'
'-x,y,z'
'x,-y,z'
loop_
_atom_site_label
_atom_site_fract_x
_atom_site_fract_y
_atom_site_fract_z
Ga1 0.000 0.000 0.000
Co1 0.000 0.500 0.678
Ge1 0.500 0.000 0.540
Pt1 0.500 0.500 0.193
```

The 10 most intense peaks (10° ≤ 2θ ≤ 80°), sorted by position:
two_theta	Rel. int.
17.05	25
29.32	24
34.49	17
35.02	35
42.26	52
42.71	100
48.45	23
61.17	14
62.14	20
78.96	16


# 3
Structure and computed powder diffractogram of Nb2PtRh6 (a crystal structure in Alexandria, relaxed with GGA-PBE; λ = 1.5418 Å (Cu Kα)).
Kinematic intensities with the Lorentz-polarization factor, no thermal factor.

```
data_Nb2PtRh6
_cell_length_a 11.718
_cell_length_b 3.901
_cell_length_c 6.258
_cell_angle_alpha 90.00
_cell_angle_beta 108.02
_cell_angle_gamma 90.00
_space_group_name_H-M_alt 'C 1 2/m 1'
_space_group_IT_number 12
loop_
_space_group_symop_operation_xyz
'x,y,z'
'-x,-y,-z'
'-x,y,-z'
'x,-y,z'
'x+1/2,y+1/2,z'
'-x+1/2,-y+1/2,-z'
'-x+1/2,y+1/2,-z'
'x+1/2,-y+1/2,z'
loop_
_atom_site_label
_atom_site_fract_x
_atom_site_fract_y
_atom_site_fract_z
Nb1 0.063 0.000 0.329
Pt1 0.000 0.500 0.000
Rh1 0.109 0.500 0.666
Rh2 0.170 0.000 0.008
Rh3 0.220 0.500 0.336
```

The 10 most intense peaks (10° ≤ 2θ ≤ 80°), sorted by position:
two_theta	Rel. int.
14.89	2
18.14	2
24.17	2
33.31	2
39.78	100
45.74	17
46.53	31
67.17	5
67.34	15
67.92	10